Entry 1:
Computed powder X-ray diffraction pattern
Compound: Rb3Na2In8
Radiation: Cu Kα
Structure: a DFT-relaxed cell (GGA-PBE, Alexandria)

Main lines, sorted by position (10° ≤ 2θ ≤ 80°):
d = 8.581 Å, I 100
d = 3.278 Å, I 37
d = 3.250 Å, I 55
d = 3.110 Å, I 70
d = 2.863 Å, I 59
d = 2.338 Å, I 38

Structural model:
```
Rb3Na2In8
1.0
7.3747 0.0000 0.0000
-1.2248 7.4345 0.0000
-2.3298 -4.0488 8.5815
Rb Na In
3 2 8
Cartesian
0.0000 0.0000 0.0000
0.0802 3.9635 2.2066
3.7400 -0.5777 6.3749
0.1924 0.9247 7.0597
3.6277 2.4610 1.5217
-1.9952 2.8131 5.2844
0.0322 -1.5650 5.0864
1.6067 0.4743 3.4716
1.3672 -3.3054 7.1606
2.4530 6.6911 1.4209
2.2135 2.9115 5.1099
3.7880 4.9508 3.4951
5.8153 0.5726 3.2970
```

Entry 2:
Computed powder X-ray diffraction pattern
Compound: RbNa10In2
Radiation: Cu Kα
Structure: a DFT-relaxed cell (GGA-PBE, Alexandria)

Main lines, sorted by position (10° ≤ 2θ ≤ 80°):
d = 6.796 Å, I 72
d = 4.160 Å, I 70
d = 2.947 Å, I 60
d = 2.936 Å, I 100
d = 2.631 Å, I 55
d = 2.076 Å, I 44

Structural model:
```
RbNa10In2
1.0
5.9193 -6.7958 0.0000
5.9193 6.7958 0.0000
0.0000 0.0000 11.6828
Rb Na In
2 20 4
Cartesian
5.9193 5.0478 8.7621
5.9193 -5.0478 2.9207
3.1959 1.9157 8.7621
5.9193 4.5923 1.0820
5.9193 4.5923 4.7594
4.1370 1.7346 2.9207
2.6907 0.0000 0.0000
2.6907 0.0000 5.8414
5.9193 1.6680 6.4308
5.9193 1.6680 11.0935
3.1959 -1.9157 2.9207
4.1370 -1.7346 8.7621
7.7015 1.7346 2.9207
8.6426 1.9157 8.7621
5.9193 -1.6680 0.5893
5.9193 -1.6680 5.2521
9.1478 0.0000 0.0000
9.1478 0.0000 5.8414
7.7015 -1.7346 8.7621
5.9193 -4.5923 6.9235
5.9193 -4.5923 10.6008
8.6426 -1.9157 2.9207
2.9596 3.3979 0.0000
2.9596 3.3979 5.8414
2.9596 -3.3979 0.0000
2.9596 -3.3979 5.8414
```

Entry 3:
Computed powder X-ray diffraction pattern
Compound: Rb2NaTl2In
Radiation: Cu Kα
Structure: a DFT-relaxed cell (GGA-PBE, Alexandria)

Main lines, sorted by position (10° ≤ 2θ ≤ 80°):
d = 8.822 Å, I 40
d = 4.533 Å, I 70
d = 3.386 Å, I 100
d = 2.867 Å, I 58
d = 2.836 Å, I 60
d = 2.642 Å, I 84

Structural model:
```
Rb2NaTl2In
1.0
-3.7719 8.8219 3.7021
3.7719 -8.8219 3.7021
3.7719 8.8219 -3.7021
Rb Na Tl In
4 2 4 2
Cartesian
1.8254 3.0344 0.0000
1.8254 -3.0344 3.7021
1.9465 11.8564 0.0000
1.9465 5.7875 3.7021
0.0000 0.0000 1.8511
0.0000 0.0000 5.5532
5.4751 1.7768 0.0000
1.7033 7.0452 0.0000
2.0686 1.7768 3.7021
-1.7033 7.0452 3.7021
3.7719 0.0000 1.8511
0.0000 8.8219 1.8511
```

Entry 4:
Computed powder X-ray diffraction pattern
Compound: NaIn10Rh3
Radiation: Cu Kα
Structure: a DFT-relaxed cell (GGA-PBE, Alexandria)

Main lines, sorted by position (10° ≤ 2θ ≤ 80°):
d = 4.924 Å, I 39
d = 2.680 Å, I 100
d = 2.462 Å, I 37
d = 2.354 Å, I 54
d = 2.321 Å, I 29
d = 2.099 Å, I 33

Structural model:
```
NaIn10Rh3
1.0
0.0000 6.9631 6.9631
6.9631 0.0000 6.9631
6.9631 6.9631 0.0000
Na In Rh
2 20 6
Cartesian
3.4815 3.4815 3.4815
10.4446 10.4446 10.4446
2.3688 2.3688 0.0000
4.5942 4.5942 0.0000
2.3688 0.0000 2.3688
6.9631 4.5942 2.3688
4.5942 0.0000 4.5942
6.9631 2.3688 4.5942
8.5359 5.3903 5.3903
0.0000 2.3688 2.3688
4.5942 6.9631 2.3688
4.5942 2.3688 6.9631
5.3903 5.3903 5.3903
8.5359 8.5359 5.3903
8.5359 5.3903 8.5359
5.3903 8.5359 5.3903
5.3903 5.3903 8.5359
8.5359 8.5359 8.5359
0.0000 4.5942 4.5942
2.3688 6.9631 4.5942
2.3688 4.5942 6.9631
5.3903 8.5359 8.5359
6.9631 6.9631 3.6950
6.9631 3.6950 6.9631
10.2312 6.9631 6.9631
3.6950 6.9631 6.9631
6.9631 10.2312 6.9631
6.9631 6.9631 10.2312
```

Entry 5:
Computed powder X-ray diffraction pattern
Compound: NaIn6Rh
Radiation: Cu Kα
Structure: a DFT-relaxed cell (GGA-PBE, Alexandria)

Main lines, sorted by position (10° ≤ 2θ ≤ 80°):
d = 2.618 Å, I 100
d = 2.548 Å, I 27
d = 2.497 Å, I 14
d = 2.320 Å, I 20
d = 2.240 Å, I 26
d = 1.355 Å, I 13

Structural model:
```
NaIn6Rh
1.0
4.4806 0.0000 0.0000
0.0000 8.4505 0.0000
0.0000 0.0000 9.9871
Na In Rh
2 12 2
Cartesian
0.0000 0.0000 0.0000
0.0000 4.2252 4.9936
0.0000 1.9240 2.7368
0.0000 2.3012 7.7304
0.0000 6.1492 7.7304
0.0000 6.5265 2.7368
2.2403 0.0000 2.1188
2.2403 0.0000 7.8340
2.2403 1.5985 5.0516
2.2403 2.6267 0.0580
2.2403 4.2252 2.8404
2.2403 4.2252 7.1123
2.2403 5.8237 0.0580
2.2403 6.8520 5.0516
0.0000 0.0000 6.1705
0.0000 4.2252 1.1770
```

Entry 6:
Computed powder X-ray diffraction pattern
Compound: NaInRhSe3
Radiation: Cu Kα
Structure: a DFT-relaxed cell (GGA-PBE, Alexandria)

Main lines, sorted by position (10° ≤ 2θ ≤ 80°):
d = 7.150 Å, I 100
d = 2.637 Å, I 40
d = 2.539 Å, I 35
d = 2.140 Å, I 15
d = 2.054 Å, I 19
d = 1.896 Å, I 16

Structural model:
```
NaInRhSe3
1.0
7.8123 0.0000 0.0000
0.0000 3.7916 0.0000
-3.5497 0.0000 9.6822
Na In Rh Se
2 2 2 6
Cartesian
0.7619 0.9479 2.1778
3.5007 2.8437 7.5044
-1.0337 0.9479 6.2901
5.2963 2.8437 3.3921
-0.5465 2.8437 8.4800
4.8091 0.9479 1.2022
-2.2367 0.9479 8.8295
-0.0528 2.8437 4.5498
3.1636 2.8437 1.3786
1.0990 0.9479 8.3036
4.3154 0.9479 5.1324
6.4993 2.8437 0.8527
```

Q: What is the formula in the fourth record?
A: NaIn10Rh3